Entry 1:
The following is a theoretical X-ray powder pattern of Y2ZrZn6. It was derived from a DFT-relaxed cell (PBE, Alexandria), using copper Kα.

Cell and atoms:
Lattice parameters (Å, degrees): 7.6808 7.6808 3.3900 90.00 90.00 120.00
Fractional positions:
1 Y 0.3333 0.6667 0.0000
2 Y 0.6667 0.3333 0.0000
3 Zr 0.0000 0.0000 0.0000
4 Zn 0.0000 0.3274 0.5000
5 Zn 0.0000 0.6726 0.5000
6 Zn 0.3274 0.0000 0.5000
7 Zn 0.3274 0.3274 0.5000
8 Zn 0.6726 0.0000 0.5000
9 Zn 0.6726 0.6726 0.5000

The 8 most intense peaks (15 to 90 degrees two-theta), in order of rising 2θ:
- d 2.541, I = 100.0
- d 2.217, I = 69.1
- d 1.695, I = 9.7
- d 1.671, I = 26.8
- d 1.347, I = 25.9
- d 1.334, I = 24.2
- d 1.280, I = 10.7
- d 1.109, I = 6.8

---

Entry 2:
The following is a theoretical X-ray powder pattern of Y3Tm2In2. It was derived from a DFT-relaxed cell (PBE, Alexandria), using copper Kα.

Cell and atoms:
Lattice parameters (Å, degrees): 8.5338 8.5338 8.5338 36.66 36.66 36.66
Fractional positions:
1 Y 0.0000 0.0000 0.0000
2 Y 0.1535 0.1535 0.1535
3 Y 0.8465 0.8465 0.8465
4 Tm 0.4249 0.4249 0.4249
5 Tm 0.5751 0.5751 0.5751
6 In 0.2836 0.2836 0.2836
7 In 0.7164 0.7164 0.7164

The 8 most intense peaks (15 to 90 degrees two-theta), in order of rising 2θ:
- d 2.748, I = 100.0
- d 2.684, I = 99.5
- d 1.920, I = 34.8
- d 1.599, I = 20.4
- d 1.562, I = 35.4
- d 1.550, I = 18.3
- d 1.223, I = 14.8
- d 1.206, I = 14.9

---

Entry 3:
The following is a theoretical X-ray powder pattern of CaLa5Pb3. It was derived from a DFT-relaxed cell (PBE, Alexandria), using copper Kα.

Cell and atoms:
Lattice parameters (Å, degrees): 9.9320 9.9320 6.9745 90.00 90.00 120.00
Fractional positions:
1 Ca 0.0000 0.0000 0.0000
2 Ca 0.0000 0.0000 0.5000
3 La 0.0000 0.3323 0.2500
4 La 0.0000 0.6677 0.7500
5 La 0.3323 0.0000 0.2500
6 La 0.3323 0.3323 0.7500
7 La 0.3333 0.6667 0.0000
8 La 0.3333 0.6667 0.5000
9 La 0.6667 0.3333 0.0000
10 La 0.6667 0.3333 0.5000
11 La 0.6677 0.0000 0.7500
12 La 0.6677 0.6677 0.2500
13 Pb 0.0000 0.3346 0.7500
14 Pb 0.0000 0.6654 0.2500
15 Pb 0.3346 0.0000 0.7500
16 Pb 0.3346 0.3346 0.2500
17 Pb 0.6654 0.0000 0.2500
18 Pb 0.6654 0.6654 0.7500

The 8 most intense peaks (15 to 90 degrees two-theta), in order of rising 2θ:
- d 3.487, I = 15.2
- d 2.867, I = 100.0
- d 2.854, I = 75.5
- d 2.215, I = 27.5
- d 2.023, I = 28.3
- d 1.654, I = 49.6
- d 1.490, I = 27.9
- d 1.200, I = 13.9